# CeMg6Cd2
Computed powder diffractogram, Cu Kα. Input: DFT lattice parameters and positions (PBE).
Kinematic intensities with the Lorentz-polarization factor, no thermal factor.

Structure:
abc: 3.068 8.947 9.101
angles: 119.30 98.45 90.52
Fractional positions:
Ce: 0.000 0.000 0.000
Mg: 0.326 0.004 0.656
Mg: 0.335 0.653 0.656
Mg: 0.484 0.666 0.999
Mg: 0.516 0.334 0.001
Mg: 0.665 0.347 0.344
Mg: 0.674 0.996 0.344
Cd: 0.137 0.653 0.306
Cd: 0.863 0.347 0.694

Main lines, in order of rising 2θ (2θ from 10° to 80°):
2θ = 19.72°, d = 4.503 Å, I = 100
2θ = 19.85°, d = 4.473 Å, I = 47
2θ = 33.22°, d = 2.697 Å, I = 15
2θ = 34.42°, d = 2.605 Å, I = 36
2θ = 34.66°, d = 2.588 Å, I = 77
2θ = 35.72°, d = 2.514 Å, I = 16
2θ = 36.02°, d = 2.493 Å, I = 15
2θ = 38.22°, d = 2.355 Å, I = 15
2θ = 38.35°, d = 2.347 Å, I = 16
2θ = 40.05°, d = 2.252 Å, I = 14